Simulated powder diffraction line list
Compound: ReSb
Radiation: Cu Kα (λ = 1.5418 Å)
Structure: a GGA-PBE-relaxed structure
Peak positions follow from Bragg's law for the DFT cell and can differ from measured ones.

Cell and atoms:
Unit cell a=3.0366 b=3.0366 c=9.1404 alpha=90.00 beta=90.00 gamma=90.00
Space group P4/nmm (No. 129, origin choice 2)
Inequivalent atoms, fractional coordinates:
Re: 0.2500 0.2500 0.0889 (multiplicity 2)
Sb: 0.2500 0.2500 0.6985 (multiplicity 2)

Most intense lines, 2θ = 5–70°, by angle:
hkl 0 0 1, 2θ 9.68, I = 1000
hkl 0 0 3, 2θ 29.31, I = 39
hkl 1 0 2, 2θ 35.49, I = 816
hkl 0 0 4, 2θ 39.43, I = 17
hkl 1 1 0, 2θ 42.04, I = 987
hkl 1 1 1, 2θ 43.28, I = 115
hkl 0 0 5, 2θ 49.89, I = 123
hkl 1 1 3, 2θ 52.11, I = 31
hkl 1 1 4, 2θ 59.01, I = 38
hkl 2 0 0, 2θ 61.03, I = 139
hkl 2 0 1, 2θ 61.96, I = 41
hkl 1 1 5, 2θ 67.26, I = 192



Simulated powder diffraction line list
Compound: Cs7K2Au2
Radiation: Cu Kα (λ = 1.5418 Å)
Structure: a GGA-PBE-relaxed structure
Peak positions follow from Bragg's law for the DFT cell and can differ from measured ones.

Cell and atoms:
Unit cell a=5.0032 b=24.4934 c=13.7455 alpha=90.00 beta=90.00 gamma=90.00
Space group Imm2 (No. 44)
Inequivalent atoms, fractional coordinates:
Cs: 0.0000 0.0000 0.0000 (multiplicity 2)
Cs: 0.0000 0.1635 0.5518 (multiplicity 4)
Cs: 0.0000 0.3211 0.3718 (multiplicity 4)
Cs: 0.0000 0.3405 0.7085 (multiplicity 4)
K: 0.0000 0.0000 0.3656 (multiplicity 2)
K: 0.0000 0.5000 0.1748 (multiplicity 2)
Au: 0.0000 0.2274 0.0522 (multiplicity 4)

Most intense lines, 2θ = 5–70°, by angle:
hkl 0 2 0, 2θ 7.22, I = 1000
hkl 0 0 2, 2θ 12.88, I = 206
hkl 0 3 3, 2θ 22.26, I = 577
hkl 1 4 1, 2θ 23.86, I = 536
hkl 1 3 2, 2θ 24.56, I = 350
hkl 1 0 3, 2θ 26.36, I = 258
hkl 1 5 2, 2θ 28.62, I = 223
hkl 1 6 1, 2θ 28.97, I = 229
hkl 1 3 4, 2θ 33.51, I = 186
hkl 1 5 4, 2θ 36.65, I = 165
hkl 0 9 3, 2θ 38.47, I = 209
hkl 2 9 3, 2θ 53.64, I = 225



Simulated powder diffraction line list
Compound: Np3NiAg4S8
Radiation: Cu Kα (λ = 1.5418 Å)
Structure: a GGA-PBE-relaxed structure
Peak positions follow from Bragg's law for the DFT cell and can differ from measured ones.

Cell and atoms:
Unit cell a=12.9604 b=7.7779 c=7.5660 alpha=90.00 beta=119.79 gamma=90.00
Space group C2/m (No. 12)
Inequivalent atoms, fractional coordinates:
Np: 0.0000 0.0000 0.0000 (multiplicity 2)
Np: 0.2500 0.2500 0.5000 (multiplicity 4)
Ni: 0.0000 0.5000 0.0000 (multiplicity 2)
Ag: 0.0000 0.0000 0.5000 (multiplicity 2)
Ag: 0.0000 0.5000 0.5000 (multiplicity 2)
Ag: 0.2500 0.2500 0.0000 (multiplicity 4)
S: 0.0115 0.2902 0.2217 (multiplicity 8)
S: 0.2154 0.0000 0.7177 (multiplicity 4)
S: 0.2412 0.0000 0.2430 (multiplicity 4)

Most intense lines, 2θ = 5–70°, by angle:
hkl 2 0 -1, 2θ 14.80, I = 179
hkl 0 0 2, 2θ 27.16, I = 358
hkl 2 2 0, 2θ 27.89, I = 687
hkl 4 0 -2, 2θ 29.85, I = 297
hkl 4 0 0, 2θ 31.82, I = 557
hkl 2 2 -2, 2θ 33.12, I = 1000
hkl 2 2 2, 2θ 44.80, I = 418
hkl 0 4 0, 2θ 46.72, I = 180
hkl 4 0 -4, 2θ 48.34, I = 480
hkl 6 2 0, 2θ 54.33, I = 126
hkl 0 4 2, 2θ 54.88, I = 120
hkl 4 4 0, 2θ 57.64, I = 188